Ba2TlV2O7: theoretical powder diffraction line list (CuKα), based on a crystal structure in Alexandria, relaxed with PBE+U.

Most intense lines, 2θ = 10–80°, in order of rising 2θ:
Position (°2θ), I/Imax, hkl
24.7, 27, 1 0 -2
27.9, 75, 0 1 2
29.1, 82, 1 0 2
32.3, 100, 1 1 0
44.5, 22, 2 0 -1
48.0, 41, 1 1 -5
53.4, 29, 2 1 -3
56.7, 25, 1 2 2

Crystal structure
Cell: 4.0707 3.8287 11.8075 Å, 90.00 99.79 90.00°
Space group Pm (No. 6)
Inequivalent atoms, fractional coordinates:
Ba 0.0000 0.0000 0.0000 (multiplicity 1)
Ba 0.2221 0.0000 0.4633 (multiplicity 1)
Tl 0.6141 0.5000 0.2244 (multiplicity 1)
V 0.4113 0.5000 0.8269 (multiplicity 1)
V 0.7899 0.5000 0.6369 (multiplicity 1)
O 0.2608 0.0000 0.2339 (multiplicity 1)
O 0.3267 0.5000 0.6494 (multiplicity 1)
O 0.4121 0.0000 0.8305 (multiplicity 1)
O 0.4911 0.5000 0.9943 (multiplicity 1)
O 0.7425 0.5000 0.4797 (multiplicity 1)
O 0.8017 0.0000 0.6325 (multiplicity 1)
O 0.9033 0.5000 0.8078 (multiplicity 1)